Structure and computed X-ray powder pattern of Cr2P4Pb3O16 (a PBE+U-relaxed structure; Cu Kα).

Main lines, by angle (10° ≤ 2θ ≤ 90°):
- (1 1 0), 14.60 deg, rel. 58.8
- (1 1 -2), 21.21 deg, rel. 100.0
- (2 2 -1), 27.66 deg, rel. 39.2
- (2 2 0), 29.44 deg, rel. 47.3
- (1 1 2), 29.69 deg, rel. 47.9
- (2 2 -2), 29.90 deg, rel. 44.7
- (3 0 -2), 30.10 deg, rel. 38.3
- (0 3 1), 31.24 deg, rel. 48.9
- (1 3 0), 31.36 deg, rel. 34.8
- (3 1 -2), 31.68 deg, rel. 34.2

```
data_Cr2P4Pb3O16
_space_group_name_H-M_alt 'P 1 21/c 1'
_space_group_IT_number 14
_space_group_name_Hall '-P 2ybc'
_cell_length_a 9.1108
_cell_length_b 9.1374
_cell_length_c 9.4319
_cell_angle_alpha 90.00
_cell_angle_beta 117.00
_cell_angle_gamma 90.00
loop_
_atom_site_label
_atom_site_fract_x
_atom_site_fract_y
_atom_site_fract_z
Cr1 0.2479 0.1311 0.2447
P1 0.0189 0.1390 0.8434
P2 0.4243 0.0896 0.6404
Pb1 0.0000 0.0000 0.5000
Pb2 0.2995 0.7080 0.5312
O1 0.0812 0.5052 0.7580
O2 0.0924 0.2051 0.7362
O3 0.0993 0.7494 0.6358
O4 0.1555 0.0899 0.0072
O5 0.3112 0.5406 0.1269
O6 0.3903 0.5448 0.7584
O7 0.3931 0.1511 0.4780
O8 0.4100 0.2161 0.7446
```